This entry pairs a crystal structure of ZrTe with its computed PXRD pattern. Radiation: Cu Kα (weighted mean of Kα1 and Kα2). Structure: a GGA-PBE-relaxed structure.
Kinematic intensities with the Lorentz-polarization factor, no thermal factor.

Main lines, in order of rising 2θ (10 to 80 degrees two-theta):
d (Å)  2θ/deg  intensity  (hkl)
3.899  22.81  1  0 0 1
3.290  27.10  37  1 0 0
2.515  35.71  100  1 0 1
1.949  46.59  10  0 0 2
1.900  47.88  28  1 1 0
1.677  54.73  10  1 0 2
1.645  55.89  5  2 0 0
1.516  61.14  20  2 0 1
1.360  69.03  19  1 1 2
1.257  75.64  4  2 0 2
1.244  76.62  4  2 1 0
1.209  79.26  9  1 0 3

Structural model:
```
data_ZrTe
_cell_length_a 3.7994
_cell_length_b 3.7994
_cell_length_c 3.8986
_cell_angle_alpha 90.00
_cell_angle_beta 90.00
_cell_angle_gamma 120.00
_space_group_name_H-M_alt 'P 1'
_space_group_IT_number 1
_space_group_name_Hall 'P 1'
loop_
_atom_site_label
_atom_site_fract_x
_atom_site_fract_y
_atom_site_fract_z
_atom_site_occupancy
Zr1 0.0000 0.0000 0.0000 1
Te1 0.3333 0.6667 0.5000 1
```